# 1
Theoretical powder XRD pattern
Compound: CePdPb2
Radiation: Cu Kα, 1.54184 Å
Structure: the PBE geometry in Alexandria

Peak list (8 most intense, 10 to 80 degrees two-theta, low angle first)
2θ (°)  I_rel
27.91  15
31.42  9
33.40  100
36.87  46
49.21  11
53.13  16
57.37  12
64.23  31

Crystal structure
```
data_CePdPb2
_chemical_formula_sum 'Ce4 Pd4 Pb8'
_cell_length_a 4.8755
_cell_length_b 4.8755
_cell_length_c 17.0805
_cell_angle_alpha 90.00
_cell_angle_beta 90.00
_cell_angle_gamma 90.00
_space_group_name_H-M_alt 'I 4/m m m'
_space_group_IT_number 139
_space_group_name_Hall '-I 4 2'
loop_
_atom_site_label
_atom_site_fract_x
_atom_site_fract_y
_atom_site_fract_z
_atom_site_occupancy
Ce1 0.0000 0.0000 0.1392 1
Pd1 0.0000 0.5000 0.2500 1
Pb1 0.0000 0.0000 0.3476 1
Pb2 0.0000 0.5000 0.0000 1
```

# 2
Theoretical powder XRD pattern
Compound: Na12AlHg6
Radiation: Cu Kα, 1.54184 Å
Structure: the PBE geometry in Alexandria

Peak list (8 most intense, 10 to 80 degrees two-theta, low angle first)
2θ (°)  I_rel
10.99  41
15.28  39
15.84  46
22.08  55
24.36  64
33.92  100
34.85  57
35.63  51

Crystal structure
```
data_Na12AlHg6
_chemical_formula_sum 'Na36 Al3 Hg18'
_cell_length_a 11.1894
_cell_length_b 11.1894
_cell_length_c 14.4802
_cell_angle_alpha 90.00
_cell_angle_beta 90.00
_cell_angle_gamma 120.00
_space_group_name_H-M_alt 'R -3'
_space_group_IT_number 148
_space_group_name_Hall '-R 3'
loop_
_atom_site_label
_atom_site_fract_x
_atom_site_fract_y
_atom_site_fract_z
_atom_site_occupancy
Na1 0.0353 0.8443 0.3181 1
Na2 0.0583 0.2192 0.9118 1
Al1 0.0000 0.0000 0.5000 1
Hg1 0.0381 0.5960 0.2089 1
```

# 3
Theoretical powder XRD pattern
Compound: Er5Tl3
Radiation: Cu Kα, 1.54184 Å
Structure: the PBE geometry in Alexandria

Peak list (8 most intense, 10 to 80 degrees two-theta, low angle first)
2θ (°)  I_rel
32.45  86
32.58  100
33.48  27
34.62  30
35.30  54
43.72  16
49.44  18
61.61  35

Crystal structure
```
data_Er5Tl3
_chemical_formula_sum 'Er10 Tl6'
_cell_length_a 6.7862
_cell_length_b 13.0645
_cell_length_c 5.0848
_cell_angle_alpha 90.00
_cell_angle_beta 90.00
_cell_angle_gamma 90.00
_space_group_name_H-M_alt 'P b a m'
_space_group_IT_number 55
_space_group_name_Hall '-P 2 2ab'
loop_
_atom_site_label
_atom_site_fract_x
_atom_site_fract_y
_atom_site_fract_z
_atom_site_occupancy
Er1 0.0000 0.0000 0.0000 1
Er2 0.1508 0.2739 0.0000 1
Er3 0.1585 0.6065 0.5000 1
Tl1 0.0000 0.5000 0.0000 1
Tl2 0.1099 0.8487 0.5000 1
```

# 4
Theoretical powder XRD pattern
Compound: Ga2Hg3I2
Radiation: Cu Kα, 1.54184 Å
Structure: the PBE geometry in Alexandria

Peak list (8 most intense, 10 to 80 degrees two-theta, low angle first)
2θ (°)  I_rel
19.71  39
23.72  51
25.62  40
25.94  39
28.27  100
33.04  38
41.11  35
41.48  35

Crystal structure
```
data_Ga2Hg3I2
_chemical_formula_sum 'Ga2 Hg3 I2'
_cell_length_a 4.4856
_cell_length_b 4.5047
_cell_length_c 13.7126
_cell_angle_alpha 90.00
_cell_angle_beta 98.71
_cell_angle_gamma 90.00
_space_group_name_H-M_alt 'P 1 2/m 1'
_space_group_IT_number 10
_space_group_name_Hall '-P 2y'
loop_
_atom_site_label
_atom_site_fract_x
_atom_site_fract_y
_atom_site_fract_z
_atom_site_occupancy
Ga1 0.0622 0.0000 0.2078 1
Hg1 0.0000 0.0000 0.0000 1
Hg2 0.2201 0.0000 0.4169 1
I1 0.4229 0.5000 0.7882 1
```

# 5
Theoretical powder XRD pattern
Compound: SrZnSi2Pt
Radiation: Cu Kα, 1.54184 Å
Structure: the PBE geometry in Alexandria

Peak list (8 most intense, 10 to 80 degrees two-theta, low angle first)
2θ (°)  I_rel
17.05  27
22.68  31
33.41  22
34.57  100
42.72  31
46.28  24
56.03  15
72.97  26

Crystal structure
```
data_SrZnSi2Pt
_chemical_formula_sum 'Sr2 Zn2 Si4 Pt2'
_cell_length_a 4.2329
_cell_length_b 4.2329
_cell_length_c 10.3989
_cell_angle_alpha 90.00
_cell_angle_beta 90.00
_cell_angle_gamma 90.00
_space_group_name_H-M_alt 'I -4 m 2'
_space_group_IT_number 119
_space_group_name_Hall 'I -4 -2'
loop_
_atom_site_label
_atom_site_fract_x
_atom_site_fract_y
_atom_site_fract_z
_atom_site_occupancy
Sr1 0.0000 0.0000 0.0000 1
Zn1 0.0000 0.5000 0.2500 1
Si1 0.0000 0.0000 0.3824 1
Pt1 0.0000 0.5000 0.7500 1
```

# 6
Theoretical powder XRD pattern
Compound: LaPr3Ag4
Radiation: Cu Kα, 1.54184 Å
Structure: the PBE geometry in Alexandria

Peak list (7 most intense, 10 to 80 degrees two-theta, low angle first)
2θ (°)  I_rel
23.45  1
33.41  100
47.97  18
54.06  1
59.71  36
70.18  11
79.96  10

Crystal structure
```
data_LaPr3Ag4
_chemical_formula_sum 'La1 Pr3 Ag4'
_cell_length_a 3.7942
_cell_length_b 3.7942
_cell_length_c 15.1629
_cell_angle_alpha 90.00
_cell_angle_beta 90.00
_cell_angle_gamma 90.00
_space_group_name_H-M_alt 'P 4/m m m'
_space_group_IT_number 123
_space_group_name_Hall '-P 4 2'
loop_
_atom_site_label
_atom_site_fract_x
_atom_site_fract_y
_atom_site_fract_z
_atom_site_occupancy
La1 0.0000 0.0000 0.0000 1
Pr1 0.0000 0.0000 0.2512 1
Pr2 0.0000 0.0000 0.5000 1
Ag1 0.5000 0.5000 0.1285 1
Ag2 0.5000 0.5000 0.3758 1
```

# 7
Theoretical powder XRD pattern
Compound: NaZn2Sb2
Radiation: Cu Kα, 1.54184 Å
Structure: the PBE geometry in Alexandria

Peak list (8 most intense, 10 to 80 degrees two-theta, low angle first)
2θ (°)  I_rel
15.16  47
23.40  35
26.81  100
31.98  26
34.31  58
43.28  98
46.86  27
71.91  23

Crystal structure
```
data_NaZn2Sb2
_chemical_formula_sum 'Na4 Zn8 Sb8'
_cell_length_a 8.2662
_cell_length_b 8.2662
_cell_length_c 7.6046
_cell_angle_alpha 90.00
_cell_angle_beta 90.00
_cell_angle_gamma 90.00
_space_group_name_H-M_alt 'I 4 c m'
_space_group_IT_number 108
_space_group_name_Hall 'I 4 -2c'
loop_
_atom_site_label
_atom_site_fract_x
_atom_site_fract_y
_atom_site_fract_z
_atom_site_occupancy
Na1 0.0000 0.0000 0.0000 1
Zn1 0.1300 0.3700 0.3943 1
Sb1 0.1647 0.3353 0.7402 1
```

# 8
Theoretical powder XRD pattern
Compound: HfTe4Au2
Radiation: Cu Kα, 1.54184 Å
Structure: the PBE geometry in Alexandria

Peak list (8 most intense, 10 to 80 degrees two-theta, low angle first)
2θ (°)  I_rel
13.42  73
15.61  47
23.57  60
25.38  56
28.63  55
33.57  100
36.58  45
37.76  41

Crystal structure
```
data_HfTe4Au2
_chemical_formula_sum 'Hf2 Te8 Au4'
_cell_length_a 8.1098
_cell_length_b 8.3223
_cell_length_c 8.3444
_cell_angle_alpha 85.89
_cell_angle_beta 62.12
_cell_angle_gamma 62.07
_space_group_name_H-M_alt 'P 1'
_space_group_IT_number 1
_space_group_name_Hall 'P 1'
loop_
_atom_site_label
_atom_site_fract_x
_atom_site_fract_y
_atom_site_fract_z
_atom_site_occupancy
Hf1 0.0000 0.0000 0.0000 1
Hf2 0.4998 0.0193 0.9799 1
Te1 0.1805 0.3817 0.2371 1
Te2 0.1924 0.9011 0.2353 1
Te3 0.2286 0.1833 0.8149 1
Te4 0.3047 0.6984 0.6711 1
Te5 0.6795 0.2593 0.3599 1
Te6 0.6927 0.2547 0.8801 1
Te7 0.7330 0.8308 0.1582 1
Te8 0.8051 0.6918 0.6757 1
Au1 0.2440 0.4763 0.5035 1
Au2 0.2917 0.6142 0.9948 1
Au3 0.7442 0.5259 0.4530 1
Au4 0.7824 0.0193 0.5940 1
```